Li4Mn3O5F3: computed powder diffraction line list (Cu Kα), based on a crystal structure in Alexandria, relaxed with PBE+U.
Peak positions follow from Bragg's law for the DFT cell and can differ from measured ones.

Structural model:
Cell: 13.124 2.934 10.249 Å, 90.00 129.57 90.00°
Space group Cm (No. 8)
Symmetry-distinct sites (fractional):
Li 0.000 0.000 0.000
Li 0.009 0.500 0.248
Li 0.020 0.500 0.767
Li 0.476 0.500 0.483
Mn 0.260 0.500 0.147
Mn 0.260 0.500 0.618
Mn 0.262 0.000 0.883
O 0.154 0.500 0.727
O 0.160 0.000 0.970
O 0.366 0.000 0.811
O 0.366 0.500 0.040
O 0.371 0.000 0.299
F 0.103 0.500 0.161
F 0.113 0.000 0.432
F 0.415 0.500 0.610

Principal peaks in the range 2θ = 10–90°, low angle first:
11.20 deg, d = 7.900 Å, I 36, hkl 0 0 1; 17.54 deg, d = 5.056 Å, I 100, hkl 2 0 0; 26.35 deg, d = 3.382 Å, I 28, hkl 2 0 -3; 35.68 deg, d = 2.516 Å, I 44, hkl 4 0 -4; 42.59 deg, d = 2.123 Å, I 73, hkl 1 1 2; 42.95 deg, d = 2.106 Å, I 38, hkl 6 0 -4